For NaMnTc2O8, a cell relaxed with GGA+U gives the computed X-ray diffraction stick pattern in this record (Cu Kα (weighted mean of Kα1 and Kα2)).
Neutral-atom scattering factors, no anomalous dispersion.

The 10 most intense peaks (2θ = 10–80°), by intensity:
2θ (°)	I (rel.)
22.74	100
30.83	42
19.05	35
50.23	21
10.66	16
33.88	15
46.45	14
54.36	13
64.22	9
54.81	9

Structural model:
Lattice parameters (Å, degrees): 8.952 8.952 8.952 37.81 37.81 37.81
Positions (direct):
Na1 0.000 0.000 0.000
Mn1 0.500 0.500 0.500
Tc1 0.242 0.242 0.242
Tc2 0.758 0.758 0.758
O1 0.113 0.616 0.616
O2 0.312 0.312 0.312
O3 0.384 0.384 0.887
O4 0.384 0.887 0.384
O5 0.616 0.113 0.616
O6 0.616 0.616 0.113
O7 0.688 0.688 0.688
O8 0.887 0.384 0.384